# KV2AgO6
Calculated powder XRD pattern, Cu Kα, 1.54184 Å. Input: DFT lattice parameters and positions (PBE+U).

Structural model:
```
20
Lattice="5.436 -5.740 0.000 5.436 5.740 0.000 -1.867 0.000 5.650" Properties=species:S:1:pos:R:3 pbc="T T T"
K 4.036 4.523 4.237
K 4.969 -4.523 1.412
V 1.864 0.900 4.534
V 2.797 -0.900 1.709
V 6.208 0.900 3.941
V 7.141 -0.900 1.116
Ag 4.969 2.805 1.412
Ag 4.036 -2.805 4.237
O 0.266 1.072 4.028
O 2.478 2.410 4.993
O 1.199 -1.072 1.203
O 2.817 0.256 3.115
O 3.750 -0.256 0.290
O 5.594 2.410 3.482
O 3.411 -2.410 2.168
O 5.255 0.256 5.360
O 6.188 -0.256 2.535
O 7.806 1.072 4.447
O 6.527 -2.410 0.657
O 8.739 -1.072 1.622
```

Largest 6 diffraction maxima, sorted by position, 2θ = 15–90°:
5.161 Å, I 76.6
3.838 Å, I 100.0
3.588 Å, I 72.9
3.313 Å, I 50.0
3.191 Å, I 58.8
2.825 Å, I 48.3